This entry pairs a crystal structure of SrMgMnO3 with its simulated powder XRD pattern. Radiation: CuKα. Structure: a GGA+U-relaxed structure.
Neutral-atom scattering factors, no anomalous dispersion.

Largest 10 diffraction maxima, low angle first, 10° ≤ 2θ ≤ 90°:
- d 3.365, 26.5°, intensity 945, hkl 1 0 1
- d 3.186, 28.0°, intensity 1000, hkl 0 0 2
- d 2.802, 31.9°, intensity 667, hkl 1 1 0
- d 2.104, 43.0°, intensity 582, hkl 1 1 2
- d 1.982, 45.8°, intensity 471, hkl 2 0 0
- d 1.872, 48.6°, intensity 180, hkl 1 0 3
- d 1.708, 53.7°, intensity 268, hkl 2 1 1
- d 1.683, 54.5°, intensity 532, hkl 2 0 2
- d 1.283, 73.9°, intensity 197, hkl 2 2 2
- d 1.242, 76.8°, intensity 175, hkl 2 0 4

Cell and atoms:
```
6
Lattice="3.9631 0.0000 0.0000 0.0000 3.9631 0.0000 0.0000 0.0000 6.3724" Properties=species:S:1:pos:R:3 pbc="T T T"
Sr 0.0000 0.0000 0.0000
Mg 0.0000 0.0000 3.1862
Mn 1.9815 1.9815 3.1862
O 0.0000 1.9815 3.1862
O 1.9815 0.0000 3.1862
O 1.9815 1.9815 0.0000
```